For Na4Cd6Pb, a structure optimized by DFT (GGA-PBE) gives the theoretical powder X-ray diffraction pattern in this record (Cu Ka).
No peak broadening, texture or thermal motion is included.

Peak list (10 most intense, 10° ≤ 2θ ≤ 90°, in order of rising 2θ)
| Position (°2θ) | I_rel |
| --- | --- |
| 11.6 | 100 |
| 22.3 | 38 |
| 22.8 | 33 |
| 30.2 | 43 |
| 31.7 | 58 |
| 32.5 | 35 |
| 36.0 | 30 |
| 36.6 | 58 |
| 41.6 | 24 |
| 42.7 | 23 |

Cell and atoms:
```
Na4Cd6Pb
1.0
-3.2064 3.2064 7.6210
3.2064 -3.2064 7.6210
3.2064 3.2064 -7.6210
Na Cd Pb
4 6 1
Direct
0.0225 0.6196 0.0000
0.3804 0.3804 0.4029
0.6196 0.0225 0.0000
0.9775 0.9775 0.5971
0.0000 0.5000 0.5000
0.2214 0.2214 0.6653
0.4439 0.7786 0.0000
0.5000 0.0000 0.5000
0.5561 0.5561 0.3347
0.7786 0.4439 0.0000
0.0000 0.0000 0.0000
```